Cu3Ag5: computed powder diffraction line list (λ = 1.5418 Å (Cu Kα)), based on a crystal structure in OQMD, relaxed with GGA-PBE.
Neutral-atom scattering factors, no anomalous dispersion.

Principal peaks in the range 10 to 80 degrees two-theta, in order of rising 2θ:
2theta  I (rel.)
34.7  133
36.5  167
39.0  1000
39.8  998
44.6  740
48.2  207
66.1  113
67.7  158
77.9  154
79.5  226

Structure:
Cell lengths 6.9423, 2.8286, 6.9578 Å; angles 90.00, 114.15, 90.00 degrees
Element x y z (fractional)
Cu: 0.0000 0.0000 0.0000
Cu: 0.3379 0.5000 0.1302
Cu: 0.6621 0.5000 0.8698
Ag: 0.1046 0.5000 0.3631
Ag: 0.2957 0.0000 0.7868
Ag: 0.5000 0.0000 0.5000
Ag: 0.7043 0.0000 0.2132
Ag: 0.8954 0.5000 0.6369

=====

Cu3Ag5: computed powder diffraction line list (λ = 1.5418 Å (Cu Kα)), based on a crystal structure in OQMD, relaxed with GGA-PBE.
Neutral-atom scattering factors, no anomalous dispersion.

Principal peaks in the range 10 to 80 degrees two-theta, in order of rising 2θ:
2theta  I (rel.)
33.5  70
35.2  41
36.1  46
39.4  1000
44.9  373
47.6  105
58.3  35
65.4  113
67.5  137
79.1  235

Structure:
Cell lengths 2.8534, 2.8534, 15.2931 Å; angles 90.00, 90.00, 90.00 degrees
Element x y z (fractional)
Cu: 0.0000 0.0000 0.0000
Cu: 0.0000 0.0000 0.4794
Cu: 0.5000 0.5000 0.3823
Ag: 0.0000 0.0000 0.2612
Ag: 0.0000 0.0000 0.7406
Ag: 0.5000 0.5000 0.1196
Ag: 0.5000 0.5000 0.6001
Ag: 0.5000 0.5000 0.8808

=====

Cu3Ag7: computed powder diffraction line list (λ = 1.5418 Å (Cu Kα)), based on a crystal structure in OQMD, relaxed with GGA-PBE.
Neutral-atom scattering factors, no anomalous dispersion.

Principal peaks in the range 10 to 80 degrees two-theta, in order of rising 2θ:
2theta  I (rel.)
23.3  24
33.9  14
38.9  1000
44.9  321
45.9  155
65.3  51
65.5  44
66.2  194
78.8  113
78.9  103

Structure:
Cell lengths 2.8564, 3.9540, 14.2523 Å; angles 90.00, 90.00, 90.00 degrees
Element x y z (fractional)
Cu: 0.0000 0.0000 0.0000
Cu: 0.0000 0.0000 0.1880
Cu: 0.5000 0.5000 0.6998
Ag: 0.0000 0.0000 0.3909
Ag: 0.0000 0.0000 0.6039
Ag: 0.0000 0.0000 0.7973
Ag: 0.5000 0.5000 0.0935
Ag: 0.5000 0.5000 0.2860
Ag: 0.5000 0.5000 0.4985
Ag: 0.5000 0.5000 0.9008

=====

Cu3Ag7: computed powder diffraction line list (λ = 1.5418 Å (Cu Kα)), based on a crystal structure in OQMD, relaxed with GGA-PBE.
Neutral-atom scattering factors, no anomalous dispersion.

Principal peaks in the range 10 to 80 degrees two-theta, in order of rising 2θ:
2theta  I (rel.)
31.3  28
34.0  21
36.2  27
38.9  1000
44.3  364
47.1  116
64.4  111
66.7  168
71.5  17
77.9  237

Structure:
Cell lengths 2.8930, 2.8930, 19.2756 Å; angles 90.00, 90.00, 90.00 degrees
Element x y z (fractional)
Cu: 0.0000 0.0000 0.0000
Cu: 0.0000 0.0000 0.1887
Cu: 0.5000 0.5000 0.7018
Ag: 0.0000 0.0000 0.3916
Ag: 0.0000 0.0000 0.6091
Ag: 0.0000 0.0000 0.7952
Ag: 0.5000 0.5000 0.0944
Ag: 0.5000 0.5000 0.2816
Ag: 0.5000 0.5000 0.4996
Ag: 0.5000 0.5000 0.9061

=====

Cu3Ag7: computed powder diffraction line list (λ = 1.5418 Å (Cu Kα)), based on a crystal structure in OQMD, relaxed with GGA-PBE.
Neutral-atom scattering factors, no anomalous dispersion.

Principal peaks in the range 10 to 80 degrees two-theta, in order of rising 2θ:
2theta  I (rel.)
33.7  208
38.6  834
39.0  1000
39.8  130
44.1  562
47.0  286
64.7  103
66.4  309
70.9  142
77.9  193

Structure:
Cell lengths 2.8830, 3.8704, 14.6213 Å; angles 90.00, 90.00, 90.00 degrees
Element x y z (fractional)
Cu: 0.0000 0.0000 0.0000
Cu: 0.5000 0.5000 0.0838
Cu: 0.5000 0.5000 0.9162
Ag: 0.0000 0.0000 0.1786
Ag: 0.0000 0.0000 0.3923
Ag: 0.0000 0.0000 0.6077
Ag: 0.0000 0.0000 0.8214
Ag: 0.5000 0.5000 0.2847
Ag: 0.5000 0.5000 0.5000
Ag: 0.5000 0.5000 0.7153

=====

Cu3Ag7: computed powder diffraction line list (λ = 1.5418 Å (Cu Kα)), based on a crystal structure in OQMD, relaxed with GGA-PBE.
Neutral-atom scattering factors, no anomalous dispersion.

Principal peaks in the range 10 to 80 degrees two-theta, in order of rising 2θ:
2theta  I (rel.)
38.8  1000
39.0  329
45.1  425
45.3  216
65.6  194
65.8  65
66.0  127
78.8  75
79.0  149
79.2  149

Structure:
Cell lengths 7.5360, 7.5360, 4.8935 Å; angles 96.22, 96.22, 141.85 degrees
Element x y z (fractional)
Cu: 0.0000 0.0000 0.0000
Cu: 0.1997 0.8003 0.0000
Cu: 0.8003 0.1997 0.0000
Ag: 0.0995 0.9005 0.5000
Ag: 0.2965 0.7035 0.5000
Ag: 0.3963 0.6037 0.0000
Ag: 0.5000 0.5000 0.5000
Ag: 0.6037 0.3963 0.0000
Ag: 0.7035 0.2965 0.5000
Ag: 0.9005 0.0995 0.5000